The following is a theoretical powder XRD pattern of Li2CoPCO7. It was derived from a DFT-relaxed cell (PBE+U, the Materials Project), using Cu Kα X-rays.

Atomic structure:
Unit cell a=5.0836 b=6.2472 c=8.5317 alpha=90.00 beta=93.62 gamma=90.00
Positions (direct):
Li (0.2232, 0.0142, 0.2808)
Li (0.2232, 0.4858, 0.2808)
Li (0.7768, 0.5142, 0.7192)
Li (0.7768, 0.9858, 0.7192)
Co (0.2143, 0.7500, 0.8445)
Co (0.7857, 0.2500, 0.1555)
P (0.2833, 0.2500, 0.9260)
P (0.7167, 0.7500, 0.0740)
C (0.2699, 0.7500, 0.5567)
C (0.7301, 0.2500, 0.4433)
O (0.0385, 0.7500, 0.6170)
O (0.1731, 0.2500, 0.0909)
O (0.1807, 0.0536, 0.8291)
O (0.1807, 0.4464, 0.8291)
O (0.2977, 0.7500, 0.4105)
O (0.4103, 0.7500, 0.0563)
O (0.4714, 0.7500, 0.6624)
O (0.5286, 0.2500, 0.3376)
O (0.5897, 0.2500, 0.9437)
O (0.7023, 0.2500, 0.5895)
O (0.8193, 0.5536, 0.1709)
O (0.8193, 0.9464, 0.1709)
O (0.8269, 0.7500, 0.9091)
O (0.9615, 0.2500, 0.3830)

Main lines, sorted by position (2θ from 10° to 80°):
| two_theta | d (Å) | I/Imax |
| --- | --- | --- |
| 10.39 | 8.515 | 100 |
| 17.61 | 5.037 | 46 |
| 19.80 | 4.485 | 29 |
| 20.94 | 4.242 | 30 |
| 26.47 | 3.368 | 38 |
| 28.58 | 3.124 | 58 |



The following is a theoretical powder XRD pattern of Li3CoPCO7. It was derived from a DFT-relaxed cell (PBE+U, the Materials Project), using Cu Kα X-rays.

Atomic structure:
Unit cell a=8.4879 b=6.3886 c=9.8513 alpha=90.00 beta=94.99 gamma=90.00
Positions (direct):
Li (0.0980, 0.2482, 0.1178)
Li (0.0980, 0.2518, 0.6178)
Li (0.2801, 0.0136, 0.8812)
Li (0.2801, 0.4864, 0.3812)
Li (0.3464, 0.7461, 0.6099)
Li (0.3464, 0.7539, 0.1099)
Li (0.6536, 0.2461, 0.8901)
Li (0.6536, 0.2539, 0.3901)
Li (0.7199, 0.5136, 0.6188)
Li (0.7199, 0.9864, 0.1188)
Li (0.9020, 0.7482, 0.3822)
Li (0.9020, 0.7518, 0.8822)
Co (0.2751, 0.0061, 0.3765)
Co (0.2751, 0.4939, 0.8765)
Co (0.7249, 0.5061, 0.1235)
Co (0.7249, 0.9939, 0.6235)
P (0.4088, 0.2478, 0.1401)
P (0.4088, 0.2522, 0.6401)
P (0.5912, 0.7478, 0.3599)
P (0.5912, 0.7522, 0.8599)
C (0.0379, 0.7494, 0.6481)
C (0.0379, 0.7506, 0.1481)
C (0.9621, 0.2494, 0.8519)
C (0.9621, 0.2506, 0.3519)
O (0.0694, 0.7450, 0.0234)
O (0.0694, 0.7550, 0.5234)
O (0.1109, 0.2403, 0.3204)
O (0.1109, 0.2597, 0.8204)
O (0.1475, 0.7340, 0.7474)
O (0.1475, 0.7660, 0.2474)
O (0.3101, 0.0585, 0.5847)
O (0.3101, 0.4415, 0.0847)
O (0.3137, 0.0571, 0.0851)
O (0.3137, 0.4429, 0.5851)
O (0.4204, 0.7451, 0.9059)
O (0.4204, 0.7549, 0.4059)
O (0.4212, 0.2474, 0.2995)
O (0.4212, 0.2526, 0.7995)
O (0.5788, 0.7474, 0.2005)
O (0.5788, 0.7526, 0.7005)
O (0.5796, 0.2451, 0.5941)
O (0.5796, 0.2549, 0.0941)
O (0.6863, 0.5571, 0.4149)
O (0.6863, 0.9429, 0.9149)
O (0.6899, 0.5585, 0.9153)
O (0.6899, 0.9415, 0.4153)
O (0.8525, 0.2340, 0.7526)
O (0.8525, 0.2660, 0.2526)
O (0.8891, 0.7403, 0.1796)
O (0.8891, 0.7597, 0.6796)
O (0.9306, 0.2450, 0.4766)
O (0.9306, 0.2550, 0.9766)

Main lines, sorted by position (2θ from 10° to 80°):
| two_theta | d (Å) | I/Imax |
| --- | --- | --- |
| 10.46 | 8.456 | 41 |
| 16.56 | 5.354 | 59 |
| 19.20 | 4.624 | 55 |
| 20.06 | 4.425 | 40 |
| 25.85 | 3.446 | 45 |
| 35.22 | 2.548 | 100 |